Calculated X-ray diffraction stick pattern
Compound: Rb3ScI6
Radiation: CuKα
Structure: the GGA-PBE geometry in Alexandria
Peak positions follow from Bragg's law for the DFT cell and can differ from measured ones.

Principal peaks in the range 2θ = 10–90°, low angle first:
20.41 deg, d 4.352, rel. 415; 22.87 deg, d 3.888, rel. 292; 26.27 deg, d 3.392, rel. 364; 26.92 deg, d 3.312, rel. 1000; 27.95 deg, d 3.193, rel. 334; 28.87 deg, d 3.093, rel. 247; 29.09 deg, d 3.070, rel. 283; 29.68 deg, d 3.010, rel. 377; 32.83 deg, d 2.728, rel. 387; 33.89 deg, d 2.645, rel. 345

Atomic structure:
Lattice parameters (Å, degrees): 9.9611 9.9611 9.9611 92.87 92.87 92.87
Fractional coordinates of all 20 atoms:
Rb1 0.0520 0.5676 0.7332
Rb2 0.2668 0.9480 0.4324
Rb3 0.4324 0.2668 0.9480
Rb4 0.5676 0.7332 0.0521
Rb5 0.7332 0.0521 0.5676
Rb6 0.9480 0.4324 0.2668
Sc1 0.0000 0.0000 0.0000
Sc2 0.5000 0.5000 0.5000
I1 0.0415 0.9352 0.7172
I2 0.0648 0.2828 0.9585
I3 0.2828 0.9585 0.0648
I4 0.2888 0.3135 0.5870
I5 0.3135 0.5870 0.2888
I6 0.4130 0.7112 0.6865
I7 0.5870 0.2888 0.3135
I8 0.6865 0.4130 0.7112
I9 0.7112 0.6865 0.4130
I10 0.7172 0.0415 0.9352
I11 0.9352 0.7172 0.0415
I12 0.9585 0.0648 0.2828

***

Calculated X-ray diffraction stick pattern
Compound: Rb2SrScI6
Radiation: CuKα
Structure: the GGA-PBE geometry in Alexandria
Peak positions follow from Bragg's law for the DFT cell and can differ from measured ones.

Principal peaks in the range 2θ = 10–90°, low angle first:
14.30 deg, d 6.195, rel. 269; 24.56 deg, d 3.624, rel. 529; 25.22 deg, d 3.531, rel. 567; 28.82 deg, d 3.097, rel. 1000; 32.31 deg, d 2.771, rel. 122; 41.22 deg, d 2.190, rel. 438; 42.06 deg, d 2.148, rel. 134; 49.31 deg, d 1.848, rel. 159; 51.79 deg, d 1.765, rel. 123; 67.63 deg, d 1.385, rel. 138

Atomic structure:
Lattice parameters (Å, degrees): 8.5935 12.3915 8.9366 90.00 90.00 90.00
Fractional coordinates of all 20 atoms:
Rb1 0.2500 0.0358 0.2089
Rb2 0.2500 0.4642 0.2089
Rb3 0.7500 0.5358 0.7911
Rb4 0.7500 0.9642 0.7911
Sr1 0.2500 0.2500 0.7291
Sr2 0.7500 0.7500 0.2709
Sc1 0.2500 0.7500 0.7664
Sc2 0.7500 0.2500 0.2336
I1 0.0013 0.7500 0.5382
I2 0.0097 0.7500 0.0061
I3 0.2500 0.5101 0.7692
I4 0.2500 0.9899 0.7692
I5 0.4903 0.7500 0.0061
I6 0.4987 0.7500 0.5382
I7 0.5013 0.2500 0.4618
I8 0.5097 0.2500 0.9939
I9 0.7500 0.0101 0.2308
I10 0.7500 0.4899 0.2308
I11 0.9903 0.2500 0.9939
I12 0.9987 0.2500 0.4618

***

Calculated X-ray diffraction stick pattern
Compound: RbScTiI6
Radiation: CuKα
Structure: the GGA-PBE geometry in Alexandria
Peak positions follow from Bragg's law for the DFT cell and can differ from measured ones.

Principal peaks in the range 2θ = 10–90°, low angle first:
10.45 deg, d 8.466, rel. 252; 17.30 deg, d 5.126, rel. 192; 20.99 deg, d 4.233, rel. 133; 26.18 deg, d 3.404, rel. 1000; 32.04 deg, d 2.794, rel. 594; 40.11 deg, d 2.248, rel. 184; 42.09 deg, d 2.147, rel. 273; 49.56 deg, d 1.839, rel. 177; 50.24 deg, d 1.816, rel. 133; 53.64 deg, d 1.709, rel. 116

Atomic structure:
Lattice parameters (Å, degrees): 7.4365 7.4365 16.9312 90.00 90.00 120.00
Fractional coordinates of all 18 atoms:
Rb1 0.0000 0.0000 0.0000
Rb2 0.0000 0.0000 0.5000
Sc1 0.3333 0.6667 0.2500
Sc2 0.6667 0.3333 0.7500
Ti1 0.3333 0.6667 0.7500
Ti2 0.6667 0.3333 0.2500
I1 0.0028 0.3650 0.6514
I2 0.0028 0.6378 0.8486
I3 0.3622 0.3650 0.8486
I4 0.3622 0.9972 0.6514
I5 0.3650 0.0028 0.1514
I6 0.3650 0.3622 0.3486
I7 0.6350 0.6378 0.6514
I8 0.6350 0.9972 0.8486
I9 0.6378 0.0028 0.3486
I10 0.6378 0.6350 0.1514
I11 0.9972 0.3622 0.1514
I12 0.9972 0.6350 0.3486

***

Calculated X-ray diffraction stick pattern
Compound: Rb12Se3I5
Radiation: CuKα
Structure: the GGA-PBE geometry in Alexandria
Peak positions follow from Bragg's law for the DFT cell and can differ from measured ones.

Principal peaks in the range 2θ = 10–90°, low angle first:
20.16 deg, d 4.404, rel. 205; 24.29 deg, d 3.665, rel. 449; 24.54 deg, d 3.628, rel. 1000; 26.35 deg, d 3.382, rel. 215; 26.99 deg, d 3.303, rel. 188; 28.88 deg, d 3.092, rel. 645; 33.96 deg, d 2.640, rel. 333; 35.30 deg, d 2.543, rel. 199; 35.47 deg, d 2.531, rel. 369; 42.19 deg, d 2.142, rel. 201

Atomic structure:
Lattice parameters (Å, degrees): 15.2576 15.2576 5.2799 90.00 90.00 120.00
Fractional coordinates of all 20 atoms:
Rb1 0.0000 0.1869 0.0000
Rb2 0.0000 0.4619 0.0000
Rb3 0.1869 0.0000 0.0000
Rb4 0.1980 0.7516 0.5000
Rb5 0.2484 0.4464 0.5000
Rb6 0.4464 0.2484 0.5000
Rb7 0.4619 0.0000 0.0000
Rb8 0.5381 0.5381 0.0000
Rb9 0.5536 0.8020 0.5000
Rb10 0.7516 0.1980 0.5000
Rb11 0.8020 0.5536 0.5000
Rb12 0.8131 0.8131 0.0000
Se1 0.0000 0.3326 0.5000
Se2 0.3326 0.0000 0.5000
Se3 0.6674 0.6674 0.5000
I1 0.0000 0.7023 0.0000
I2 0.2977 0.2977 0.0000
I3 0.3333 0.6667 0.0000
I4 0.6667 0.3333 0.0000
I5 0.7023 0.0000 0.0000

***

Calculated X-ray diffraction stick pattern
Compound: Rb2TaSeI6
Radiation: CuKα
Structure: the GGA-PBE geometry in Alexandria
Peak positions follow from Bragg's law for the DFT cell and can differ from measured ones.

Principal peaks in the range 2θ = 10–90°, low angle first:
12.51 deg, d 7.077, rel. 402; 13.74 deg, d 6.447, rel. 534; 15.79 deg, d 5.613, rel. 175; 25.17 deg, d 3.538, rel. 825; 27.67 deg, d 3.223, rel. 1000; 31.89 deg, d 2.806, rel. 393; 36.42 deg, d 2.467, rel. 204; 39.54 deg, d 2.279, rel. 330; 42.72 deg, d 2.117, rel. 610; 51.66 deg, d 1.769, rel. 302

Atomic structure:
Lattice parameters (Å, degrees): 8.5477 8.5477 8.5477 115.54 115.54 97.91
Fractional coordinates of all 10 atoms:
Rb1 0.2500 0.7500 0.5000
Rb2 0.7500 0.2500 0.5000
Ta1 0.0000 0.0000 0.0000
Se1 0.5000 0.5000 0.0000
I1 0.2182 0.2182 0.4364
I2 0.2182 0.7818 0.0000
I3 0.2489 0.2489 0.0000
I4 0.7511 0.7511 0.0000
I5 0.7818 0.2182 0.0000
I6 0.7818 0.7818 0.5636

***

Calculated X-ray diffraction stick pattern
Compound: RbTl2SeI
Radiation: CuKα
Structure: the GGA-PBE geometry in Alexandria
Peak positions follow from Bragg's law for the DFT cell and can differ from measured ones.

Principal peaks in the range 2θ = 10–90°, low angle first:
12.82 deg, d 6.907, rel. 373; 25.80 deg, d 3.453, rel. 525; 25.98 deg, d 3.430, rel. 1000; 31.91 deg, d 2.805, rel. 594; 38.24 deg, d 2.353, rel. 368; 41.48 deg, d 2.177, rel. 352; 44.71 deg, d 2.027, rel. 142; 47.81 deg, d 1.902, rel. 232; 66.83 deg, d 1.400, rel. 148; 72.92 deg, d 1.297, rel. 161

Atomic structure:
Lattice parameters (Å, degrees): 8.8900 8.8900 8.8900 127.13 127.13 78.04
Fractional coordinates of all 10 atoms:
Rb1 0.0000 0.0000 0.0000
Rb2 0.5000 0.5000 0.0000
Tl1 0.1077 0.6077 0.2148
Tl2 0.3929 0.8929 0.7852
Tl3 0.6077 0.3929 0.5000
Tl4 0.8929 0.1077 0.5000
Se1 0.2499 0.2499 0.0000
Se2 0.7499 0.7499 0.0000
I1 0.0009 0.5009 0.5000
I2 0.5009 0.0009 0.5000

***

Calculated X-ray diffraction stick pattern
Compound: Rb2SiTeI6
Radiation: CuKα
Structure: the GGA-PBE geometry in Alexandria
Peak positions follow from Bragg's law for the DFT cell and can differ from measured ones.

Principal peaks in the range 2θ = 10–90°, low angle first:
14.84 deg, d 5.971, rel. 178; 25.76 deg, d 3.458, rel. 1000; 29.64 deg, d 3.014, rel. 338; 29.93 deg, d 2.986, rel. 665; 42.62 deg, d 2.121, rel. 481; 42.84 deg, d 2.111, rel. 239; 50.29 deg, d 1.814, rel. 142; 50.66 deg, d 1.802, rel. 284; 52.95 deg, d 1.729, rel. 246; 78.32 deg, d 1.221, rel. 145

Atomic structure:
Lattice parameters (Å, degrees): 8.4849 8.4849 8.4849 120.32 120.32 89.45
Fractional coordinates of all 10 atoms:
Rb1 0.2500 0.7500 0.5000
Rb2 0.7500 0.2500 0.5000
Si1 0.0000 0.0000 0.0000
Te1 0.5000 0.5000 0.0000
I1 0.2348 0.2348 0.0000
I2 0.2370 0.2370 0.4741
I3 0.2370 0.7630 0.0000
I4 0.7630 0.2370 0.0000
I5 0.7630 0.7630 0.5259
I6 0.7652 0.7652 0.0000

***

Calculated X-ray diffraction stick pattern
Compound: Rb5Sm2I12
Radiation: CuKα
Structure: the GGA-PBE geometry in Alexandria
Peak positions follow from Bragg's law for the DFT cell and can differ from measured ones.

Principal peaks in the range 2θ = 10–90°, low angle first:
25.26 deg, d 3.526, rel. 805; 25.44 deg, d 3.501, rel. 1000; 27.12 deg, d 3.288, rel. 657; 27.45 deg, d 3.250, rel. 736; 29.88 deg, d 2.991, rel. 628; 33.69 deg, d 2.660, rel. 368; 36.20 deg, d 2.481, rel. 425; 40.52 deg, d 2.226, rel. 409; 49.62 deg, d 1.837, rel. 328; 51.14 deg, d 1.786, rel. 384

Atomic structure:
Lattice parameters (Å, degrees): 11.2228 11.2228 11.9716 107.25 107.25 46.75
Fractional coordinates of all 19 atoms:
Rb1 0.0000 0.0000 0.0000
Rb2 0.2917 0.2917 0.1432
Rb3 0.3102 0.3102 0.6632
Rb4 0.6898 0.6898 0.3368
Rb5 0.7083 0.7083 0.8568
Sm1 0.2507 0.7493 0.5000
Sm2 0.7493 0.2507 0.5000
I1 0.0074 0.0074 0.6853
I2 0.0994 0.5885 0.4271
I3 0.1302 0.5826 0.9365
I4 0.4115 0.9006 0.5729
I5 0.4174 0.8698 0.0635
I6 0.4937 0.4937 0.3110
I7 0.5063 0.5063 0.6890
I8 0.5826 0.1302 0.9365
I9 0.5885 0.0994 0.4271
I10 0.8698 0.4174 0.0635
I11 0.9006 0.4115 0.5729
I12 0.9926 0.9926 0.3147

***

Calculated X-ray diffraction stick pattern
Compound: Rb4Sn3I10
Radiation: CuKα
Structure: the GGA-PBE geometry in Alexandria
Peak positions follow from Bragg's law for the DFT cell and can differ from measured ones.

Principal peaks in the range 2θ = 10–90°, low angle first:
12.23 deg, d 7.234, rel. 225; 14.29 deg, d 6.199, rel. 284; 23.55 deg, d 3.777, rel. 362; 25.97 deg, d 3.431, rel. 519; 28.50 deg, d 3.131, rel. 1000; 28.80 deg, d 3.100, rel. 422; 30.34 deg, d 2.946, rel. 236; 40.67 deg, d 2.219, rel. 190; 40.89 deg, d 2.207, rel. 487; 41.01 deg, d 2.201, rel. 299

Atomic structure:
Lattice parameters (Å, degrees): 6.2630 6.2630 22.1392 98.05 98.05 89.78
Fractional coordinates of all 17 atoms:
Rb1 0.0624 0.0624 0.1311
Rb2 0.1971 0.1971 0.3953
Rb3 0.8029 0.8029 0.6047
Rb4 0.9376 0.9376 0.8689
Sn1 0.3533 0.3533 0.7054
Sn2 0.5000 0.5000 0.0000
Sn3 0.6467 0.6467 0.2946
I1 0.0000 0.5000 0.0000
I2 0.1429 0.6434 0.2869
I3 0.2838 0.2838 0.5649
I4 0.3566 0.8571 0.7131
I5 0.4275 0.4275 0.8559
I6 0.5000 0.0000 0.0000
I7 0.5725 0.5725 0.1441
I8 0.6434 0.1429 0.2869
I9 0.7162 0.7162 0.4351
I10 0.8571 0.3566 0.7131

***

Repeat the seventh record exactly.
Calculated X-ray diffraction stick pattern
Compound: Rb2SiTeI6
Radiation: CuKα
Structure: the GGA-PBE geometry in Alexandria
Peak positions follow from Bragg's law for the DFT cell and can differ from measured ones.

Principal peaks in the range 2θ = 10–90°, low angle first:
14.84 deg, d 5.971, rel. 178; 25.76 deg, d 3.458, rel. 1000; 29.64 deg, d 3.014, rel. 338; 29.93 deg, d 2.986, rel. 665; 42.62 deg, d 2.121, rel. 481; 42.84 deg, d 2.111, rel. 239; 50.29 deg, d 1.814, rel. 142; 50.66 deg, d 1.802, rel. 284; 52.95 deg, d 1.729, rel. 246; 78.32 deg, d 1.221, rel. 145

Atomic structure:
Lattice parameters (Å, degrees): 8.4849 8.4849 8.4849 120.32 120.32 89.45
Fractional coordinates of all 10 atoms:
Rb1 0.2500 0.7500 0.5000
Rb2 0.7500 0.2500 0.5000
Si1 0.0000 0.0000 0.0000
Te1 0.5000 0.5000 0.0000
I1 0.2348 0.2348 0.0000
I2 0.2370 0.2370 0.4741
I3 0.2370 0.7630 0.0000
I4 0.7630 0.2370 0.0000
I5 0.7630 0.7630 0.5259
I6 0.7652 0.7652 0.0000